(1)
# LiHo2Ta2O8
Simulated X-ray diffraction stick pattern, Cu Kα. Input: DFT lattice parameters and positions (GGA-PBE).
No peak broadening, texture or thermal motion is included.

Cell and atoms:
a = 6.5806 Å, b = 6.5806 Å, c = 5.1696 Å
α = 109.05°, β = 109.05°, γ = 116.92°
Element x y z (fractional)
Li: 0.0000 0.0000 0.0000
Ho: 0.4933 0.5067 0.5000
Ho: 0.7540 0.2460 0.0000
Ta: 0.0448 0.9552 0.5000
Ta: 0.2353 0.7647 0.0000
O: 0.0632 0.2160 0.3884
O: 0.1948 0.5112 0.1200
O: 0.3307 0.1405 0.9855
O: 0.3980 0.0763 0.4820
O: 0.4888 0.8052 0.8800
O: 0.7840 0.9368 0.6116
O: 0.8595 0.6693 0.0145
O: 0.9237 0.6020 0.5180

Most intense lines, 2θ from 10° to 90°, by intensity:
2theta, intensity
27.20, 100
30.50, 75
33.30, 26
46.80, 22
48.22, 21
31.91, 19
35.17, 19
44.87, 18
53.94, 17
56.50, 14
53.30, 11
59.64, 10

---

(2)
# LiHo2Ta2O8
Simulated X-ray diffraction stick pattern, Cu Kα. Input: DFT lattice parameters and positions (GGA-PBE).
No peak broadening, texture or thermal motion is included.

Cell and atoms:
a = 6.4743 Å, b = 6.4743 Å, c = 5.2534 Å
α = 109.48°, β = 109.48°, γ = 116.32°
Element x y z (fractional)
Li: 0.0000 0.0000 0.0000
Ho: 0.6925 0.3075 0.0000
Ho: 0.9624 0.0376 0.5000
Ta: 0.2484 0.7516 0.0000
Ta: 0.4238 0.5762 0.5000
O: 0.0599 0.4548 0.5282
O: 0.1060 0.3764 0.0186
O: 0.2585 0.0133 0.8933
O: 0.3992 0.3156 0.6132
O: 0.5452 0.9401 0.4718
O: 0.6236 0.8940 0.9814
O: 0.6844 0.6008 0.3868
O: 0.9867 0.7415 0.1067

Most intense lines, 2θ from 10° to 90°, by intensity:
2theta, intensity
27.26, 100
30.82, 73
33.88, 26
44.53, 21
34.68, 21
47.69, 19
48.30, 19
54.58, 16
55.67, 16
32.56, 15
44.76, 12
61.56, 11

---

(3)
# LiHo2Pt
Simulated X-ray diffraction stick pattern, Cu Kα. Input: DFT lattice parameters and positions (GGA-PBE).
No peak broadening, texture or thermal motion is included.

Cell and atoms:
a = 4.9552 Å, b = 4.9552 Å, c = 4.9552 Å
α = 60.00°, β = 60.00°, γ = 60.00°
Element x y z (fractional)
Li: 0.0000 0.0000 0.0000
Ho: 0.2500 0.2500 0.2500
Ho: 0.7500 0.7500 0.7500
Pt: 0.5000 0.5000 0.5000

Most intense lines, 2θ from 10° to 90°, by intensity:
2theta, intensity
36.26, 100
65.22, 37
21.97, 30
52.21, 18
88.18, 17
42.80, 16
76.97, 11
25.42, 8
57.31, 7
81.21, 5
69.73, 5
58.94, 3

---

(4)
# LiHo2Ru
Simulated X-ray diffraction stick pattern, Cu Kα. Input: DFT lattice parameters and positions (GGA-PBE).
No peak broadening, texture or thermal motion is included.

Cell and atoms:
a = 4.8892 Å, b = 4.8892 Å, c = 4.8892 Å
α = 60.00°, β = 60.00°, γ = 60.00°
Element x y z (fractional)
Li: 0.0000 0.0000 0.0000
Ho: 0.2500 0.2500 0.2500
Ho: 0.7500 0.7500 0.7500
Ru: 0.5000 0.5000 0.5000

Most intense lines, 2θ from 10° to 90°, by intensity:
2theta, intensity
36.76, 100
66.22, 36
25.77, 31
52.97, 18
89.69, 16
22.27, 13
59.82, 13
78.21, 11
45.44, 9
43.41, 6
83.98, 6
58.16, 3

---

(5)
# LiHoS2
Simulated X-ray diffraction stick pattern, Cu Kα. Input: DFT lattice parameters and positions (GGA-PBE).
No peak broadening, texture or thermal motion is included.

Cell and atoms:
a = 6.5746 Å, b = 6.5746 Å, c = 6.5746 Å
α = 34.42°, β = 34.42°, γ = 34.42°
Element x y z (fractional)
Li: 0.0000 0.0000 0.0000
Ho: 0.5000 0.5000 0.5000
S: 0.2498 0.2498 0.2498
S: 0.7502 0.7502 0.7502

Most intense lines, 2θ from 10° to 90°, by intensity:
2theta, intensity
14.33, 100
32.86, 92
26.89, 69
46.69, 33
36.02, 32
47.63, 31
49.09, 27
28.18, 24
43.46, 19
58.27, 17
77.77, 15
79.17, 14

---

(6)
# LiHoS2
Simulated X-ray diffraction stick pattern, Cu Kα. Input: DFT lattice parameters and positions (GGA-PBE).
No peak broadening, texture or thermal motion is included.

Cell and atoms:
a = 3.9002 Å, b = 3.9002 Å, c = 5.3037 Å
α = 90.00°, β = 90.00°, γ = 90.00°
Element x y z (fractional)
Li: 0.0000 0.0000 0.0000
Ho: 0.5000 0.5000 0.5000
S: 0.0000 0.0000 0.5000
S: 0.5000 0.5000 0.0000

Most intense lines, 2θ from 10° to 90°, by intensity:
2theta, intensity
16.72, 100
22.80, 97
32.46, 89
47.57, 59
36.73, 58
28.41, 45
41.16, 42
33.80, 40
46.57, 32
58.77, 31
49.82, 24
63.88, 23

---

(7)
# Li3HoSb2
Simulated X-ray diffraction stick pattern, Cu Kα. Input: DFT lattice parameters and positions (GGA-PBE).
No peak broadening, texture or thermal motion is included.

Cell and atoms:
a = 4.5426 Å, b = 4.5426 Å, c = 7.1497 Å
α = 90.00°, β = 90.00°, γ = 120.00°
Element x y z (fractional)
Li: 0.0000 0.0000 0.0000
Li: 0.3333 0.6667 0.8511
Li: 0.6667 0.3333 0.1489
Ho: 0.0000 0.0000 0.5000
Sb: 0.3333 0.6667 0.2538
Sb: 0.6667 0.3333 0.7462

Most intense lines, 2θ from 10° to 90°, by intensity:
2theta, intensity
25.85, 100
33.88, 64
39.68, 43
12.38, 33
44.44, 25
47.97, 19
53.15, 18
66.57, 17
68.32, 16
63.95, 16
41.73, 11
75.34, 10

---

(8)
# LiHoSn2
Simulated X-ray diffraction stick pattern, Cu Kα. Input: DFT lattice parameters and positions (GGA-PBE).
No peak broadening, texture or thermal motion is included.

Cell and atoms:
a = 9.8706 Å, b = 9.8706 Å, c = 4.4907 Å
α = 90.00°, β = 90.00°, γ = 154.58°
Element x y z (fractional)
Li: 0.1726 0.8274 0.7500
Li: 0.8274 0.1726 0.2500
Ho: 0.3940 0.6060 0.7500
Ho: 0.6060 0.3940 0.2500
Sn: 0.0448 0.9552 0.7500
Sn: 0.2480 0.7520 0.2500
Sn: 0.7520 0.2480 0.7500
Sn: 0.9552 0.0448 0.2500

Most intense lines, 2θ from 10° to 90°, by intensity:
2theta, intensity
31.87, 100
34.34, 18
40.16, 18
41.58, 16
27.80, 15
31.03, 15
24.75, 14
67.81, 12
59.18, 11
69.80, 11
42.61, 10
47.38, 10

---

(9)
# LiHoSn2
Simulated X-ray diffraction stick pattern, Cu Kα. Input: DFT lattice parameters and positions (GGA-PBE).
No peak broadening, texture or thermal motion is included.

Cell and atoms:
a = 5.1818 Å, b = 5.1818 Å, c = 5.1818 Å
α = 60.00°, β = 60.00°, γ = 60.00°
Element x y z (fractional)
Li: 0.0000 0.0000 0.0000
Ho: 0.5000 0.5000 0.5000
Sn: 0.2500 0.2500 0.2500
Sn: 0.7500 0.7500 0.7500

Most intense lines, 2θ from 10° to 90°, by intensity:
2theta, intensity
34.62, 100
62.04, 38
21.00, 34
40.84, 19
49.77, 18
83.42, 17
73.04, 12
54.59, 8
66.27, 6
76.98, 6
24.29, 4
87.24, 2

---

(10)
# LiHo2Tc
Simulated X-ray diffraction stick pattern, Cu Kα. Input: DFT lattice parameters and positions (GGA-PBE).
No peak broadening, texture or thermal motion is included.

Cell and atoms:
a = 4.9132 Å, b = 4.9132 Å, c = 4.9132 Å
α = 60.00°, β = 60.00°, γ = 60.00°
Element x y z (fractional)
Li: 0.0000 0.0000 0.0000
Ho: 0.2500 0.2500 0.2500
Ho: 0.7500 0.7500 0.7500
Tc: 0.5000 0.5000 0.5000

Most intense lines, 2θ from 10° to 90°, by intensity:
2theta, intensity
36.58, 100
65.85, 36
25.64, 32
52.69, 18
89.13, 16
59.50, 13
22.16, 12
77.75, 11
45.21, 10
83.47, 6
43.18, 6
57.84, 3

---

(11)
# LiHoW2
Simulated X-ray diffraction stick pattern, Cu Kα. Input: DFT lattice parameters and positions (GGA-PBE).
No peak broadening, texture or thermal motion is included.

Cell and atoms:
a = 9.7040 Å, b = 4.2776 Å, c = 3.5680 Å
α = 90.00°, β = 90.10°, γ = 90.00°
Element x y z (fractional)
Li: 0.0000 0.2363 0.2500
Li: 0.0000 0.7637 0.7500
Ho: 0.5000 0.2488 0.2500
Ho: 0.5000 0.7512 0.7500
W: 0.2395 0.2274 0.7480
W: 0.2395 0.7726 0.2480
W: 0.7605 0.2274 0.7520
W: 0.7605 0.7726 0.2520

Most intense lines, 2θ from 10° to 90°, by intensity:
2theta, intensity
37.70, 100
37.06, 26
18.28, 20
42.26, 18
67.22, 17
34.00, 16
51.20, 15
57.44, 14
74.25, 13
27.58, 11
32.68, 10
87.46, 9

---

What did the tenth record say?
# LiHo2Tc
Simulated X-ray diffraction stick pattern, Cu Kα. Input: DFT lattice parameters and positions (GGA-PBE).
No peak broadening, texture or thermal motion is included.

Cell and atoms:
a = 4.9132 Å, b = 4.9132 Å, c = 4.9132 Å
α = 60.00°, β = 60.00°, γ = 60.00°
Element x y z (fractional)
Li: 0.0000 0.0000 0.0000
Ho: 0.2500 0.2500 0.2500
Ho: 0.7500 0.7500 0.7500
Tc: 0.5000 0.5000 0.5000

Most intense lines, 2θ from 10° to 90°, by intensity:
2theta, intensity
36.58, 100
65.85, 36
25.64, 32
52.69, 18
89.13, 16
59.50, 13
22.16, 12
77.75, 11
45.21, 10
83.47, 6
43.18, 6
57.84, 3

---

Which formula does entry 5 have?
LiHoS2